[1]
This entry pairs a crystal structure of Li2TcO4 with its computed X-ray diffraction stick pattern. Radiation: Cu Kα (weighted mean of Kα1 and Kα2). Structure: a DFT-relaxed cell (GGA-PBE, OQMD).
Kinematic intensities with the Lorentz-polarization factor, no thermal factor.

Largest 6 diffraction maxima, low angle first, 10° ≤ 2θ ≤ 90°:
| two_theta | d (Å) | intensity |
| --- | --- | --- |
| 18.1 | 4.913 | 100 |
| 25.1 | 3.544 | 42 |
| 31.1 | 2.874 | 76 |
| 31.7 | 2.818 | 44 |
| 48.6 | 1.873 | 31 |
| 49.3 | 1.847 | 14 |

Structural model:
Lattice parameters (Å, degrees): 7.0885 7.0885 6.8167 90.00 90.00 90.00
Space group I-42d (No. 122)
Inequivalent atoms, fractional coordinates:
Li1 0.1357 0.2500 0.1250 x8
Tc1 0.0000 0.0000 0.5000 x4
O1 0.0237 0.7066 0.8981 x16

---

[2]
This entry pairs a crystal structure of Li2TcO3 with its computed X-ray diffraction stick pattern. Radiation: Cu Kα (weighted mean of Kα1 and Kα2). Structure: a DFT-relaxed cell (GGA-PBE, OQMD).
Kinematic intensities with the Lorentz-polarization factor, no thermal factor.

Largest 6 diffraction maxima, low angle first, 10° ≤ 2θ ≤ 90°:
| two_theta | d (Å) | intensity |
| --- | --- | --- |
| 20.7 | 4.301 | 21 |
| 20.8 | 4.267 | 100 |
| 28.9 | 3.093 | 37 |
| 39.9 | 2.261 | 18 |
| 44.8 | 2.024 | 44 |
| 44.9 | 2.019 | 22 |

Structural model:
Lattice parameters (Å, degrees): 5.2138 8.6010 4.7237 90.00 109.50 90.00
Space group C2/c (No. 15)
Inequivalent atoms, fractional coordinates:
Li1 0.0000 0.0874 0.2500 x4
Li2 0.0000 0.2403 0.7500 x4
Tc1 0.0000 0.4241 0.2500 x4
O1 0.2491 0.4128 0.9979 x8
O2 0.2500 0.2500 0.5000 x4

---

[3]
This entry pairs a crystal structure of Li6Tc4O11 with its computed X-ray diffraction stick pattern. Radiation: Cu Kα (weighted mean of Kα1 and Kα2). Structure: a DFT-relaxed cell (GGA-PBE, OQMD).
Kinematic intensities with the Lorentz-polarization factor, no thermal factor.

Largest 6 diffraction maxima, low angle first, 10° ≤ 2θ ≤ 90°:
| two_theta | d (Å) | intensity |
| --- | --- | --- |
| 18.9 | 4.685 | 100 |
| 20.9 | 4.250 | 57 |
| 21.1 | 4.219 | 66 |
| 28.3 | 3.156 | 38 |
| 44.4 | 2.042 | 39 |
| 44.5 | 2.037 | 70 |

Structural model:
Lattice parameters (Å, degrees): 4.9192 4.9294 8.8455 73.93 87.74 81.44
Space group P1 (No. 1)
Inequivalent atoms, fractional coordinates:
Li1 0.0000 0.0000 0.0000 x1
Li2 0.0015 0.0658 0.3851 x1
Li3 0.2271 0.5391 0.9388 x1
Li4 0.4729 0.0439 0.5328 x1
Li5 0.4836 0.0139 0.8462 x1
Li6 0.7017 0.5261 0.4423 x1
Tc1 0.1888 0.5329 0.6095 x1
Tc2 0.4627 0.0483 0.1948 x1
Tc3 0.7118 0.4718 0.1191 x1
Tc4 0.7613 0.5358 0.7553 x1
O1 0.0885 0.2554 0.1495 x1
O2 0.1038 0.3185 0.4875 x1
O3 0.1142 0.2698 0.8127 x1
O4 0.3526 0.8020 0.4059 x1
O5 0.3727 0.7606 0.0851 x1
O6 0.3763 0.7520 0.7317 x1
O7 0.5826 0.3108 0.6457 x1
O8 0.5906 0.2764 0.9673 x1
O9 0.6142 0.2572 0.3282 x1
O10 0.8437 0.8011 0.5565 x1
O11 0.8471 0.7315 0.9173 x1